No. 1
# Al5Ir3
Calculated XRD peak list, Cu Kα X-rays. Input: a crystal structure in Alexandria, relaxed with GGA-PBE.
Lines closer than 0.1° are merged.

Top 10 peaks for 5° ≤ 2θ ≤ 70°, in order of falling intensity:
| 2θ/deg | I (rel.) |
| --- | --- |
| 41.21 | 100 |
| 30.49 | 53 |
| 27.05 | 38 |
| 27.70 | 25 |
| 44.03 | 22 |
| 34.94 | 20 |
| 43.30 | 20 |
| 17.13 | 13 |
| 64.90 | 13 |
| 63.46 | 13 |

abc: 5.3228 5.3228 4.1132
angles: 90.00 90.00 103.47
Positions (direct):
Al1 0.0000 0.0000 0.0000
Al2 0.0000 0.5000 0.0000
Al3 0.2688 0.2688 0.5000
Al4 0.5000 0.0000 0.0000
Al5 0.7312 0.7312 0.5000
Ir1 0.2301 0.7699 0.5000
Ir2 0.5000 0.5000 0.0000
Ir3 0.7699 0.2301 0.5000

***

No. 2
# Al3Ir
Calculated XRD peak list, Cu Kα X-rays. Input: a crystal structure in Alexandria, relaxed with GGA-PBE.
Lines closer than 0.1° are merged.

Top 10 peaks for 5° ≤ 2θ ≤ 70°, in order of falling intensity:
| 2θ/deg | I (rel.) |
| --- | --- |
| 20.96 | 100 |
| 39.83 | 55 |
| 42.67 | 45 |
| 33.48 | 32 |
| 45.43 | 28 |
| 36.73 | 25 |
| 59.79 | 17 |
| 55.29 | 16 |
| 57.54 | 14 |
| 64.09 | 10 |

abc: 4.9865 4.9865 4.9865
angles: 116.40 116.40 116.40
Positions (direct):
Al1 0.0000 0.5000 0.5000
Al2 0.5000 0.0000 0.5000
Al3 0.5000 0.5000 0.0000
Ir1 0.0000 0.0000 0.0000

***

No. 3
# Al3Ir2
Calculated XRD peak list, Cu Kα X-rays. Input: a crystal structure in Alexandria, relaxed with GGA-PBE.
Lines closer than 0.1° are merged.

Top 10 peaks for 5° ≤ 2θ ≤ 70°, in order of falling intensity:
| 2θ/deg | I (rel.) |
| --- | --- |
| 24.11 | 100 |
| 28.80 | 97 |
| 39.29 | 94 |
| 42.64 | 86 |
| 41.12 | 86 |
| 49.41 | 49 |
| 21.95 | 38 |
| 39.50 | 28 |
| 44.92 | 25 |
| 66.16 | 20 |

abc: 8.1075 7.2322 5.0148
angles: 80.70 61.68 37.62
Positions (direct):
Al1 0.0098 0.0098 0.2402
Al2 0.2402 0.2402 0.0098
Al3 0.3750 0.3750 0.3750
Al4 0.6250 0.6250 0.6250
Al5 0.7598 0.7598 0.9902
Al6 0.9902 0.9902 0.7598
Ir1 0.1867 0.1867 0.5633
Ir2 0.4367 0.4367 0.8133
Ir3 0.5633 0.5633 0.1867
Ir4 0.8133 0.8133 0.4367